The following is a theoretical X-ray powder pattern of Ba6HRh2Cl3. It was derived from a cell relaxed with GGA-PBE, using a wavelength of 1.5418 Å.
Intensities are scaled so that the largest is 100.

Principal peaks in the range 10 to 90 degrees two-theta, sorted by position:
2theta  d (Å)  intensity
11.02  8.027  16
24.53  3.629  24
27.73  3.217  100
38.11  2.361  36
41.07  2.198  36
50.28  1.815  18
57.27  1.609  11
62.69  1.482  12
66.86  1.399  19
72.88  1.298  13

Structural model:
abc: 7.6134 7.6134 8.4220
angles: 98.70 98.70 120.02
Atoms (fractional coordinates):
Ba: 0.0724 0.4048 0.2173
Ba: 0.2603 0.2603 0.7813
Ba: 0.4048 0.0724 0.2173
Ba: 0.5952 0.9276 0.7827
Ba: 0.7397 0.7397 0.2187
Ba: 0.9276 0.5952 0.7827
H: 0.0000 0.0000 0.0000
Rh: 0.3342 0.6658 0.0000
Rh: 0.6658 0.3342 0.0000
Cl: 0.1724 0.8276 0.5000
Cl: 0.5000 0.5000 0.5000
Cl: 0.8276 0.1724 0.5000

The following is a theoretical X-ray powder pattern of Ca2Ga3Ge4Pd. It was derived from a cell relaxed with GGA-PBE, using a wavelength of 1.5418 Å.
Intensities are scaled so that the largest is 100.

Principal peaks in the range 10 to 90 degrees two-theta, sorted by position:
2theta  d (Å)  intensity
17.26  5.137  36
21.54  4.126  29
32.85  2.726  42
33.09  2.707  100
40.03  2.252  80
45.36  1.999  67
52.72  1.736  21
57.90  1.593  26
68.33  1.373  23
76.46  1.246  28

Structural model:
abc: 4.5047 4.5047 10.2739
angles: 90.00 90.00 90.00
Atoms (fractional coordinates):
Ca: 0.0000 0.5000 0.2357
Ca: 0.5000 0.0000 0.7643
Ga: 0.0000 0.0000 0.0000
Ga: 0.0000 0.5000 0.6321
Ga: 0.5000 0.0000 0.3679
Ge: 0.0000 0.0000 0.5000
Ge: 0.0000 0.5000 0.8735
Ge: 0.5000 0.0000 0.1265
Ge: 0.5000 0.5000 0.5000
Pd: 0.5000 0.5000 0.0000

The following is a theoretical X-ray powder pattern of Mg5CdHg6. It was derived from a cell relaxed with GGA-PBE, using a wavelength of 1.5418 Å.
Intensities are scaled so that the largest is 100.

Principal peaks in the range 10 to 90 degrees two-theta, sorted by position:
2theta  d (Å)  intensity
20.61  4.309  65
29.91  2.988  27
30.08  2.971  53
32.13  2.786  51
32.50  2.755  100
40.61  2.222  82
41.93  2.154  25
46.10  1.969  17
51.61  1.771  27
62.52  1.486  15

Structural model:
abc: 6.1012 6.1012 8.8732
angles: 96.90 96.90 119.44
Atoms (fractional coordinates):
Mg: 0.0000 0.0000 0.0000
Mg: 0.1677 0.8323 0.5000
Mg: 0.3360 0.6640 0.0000
Mg: 0.6640 0.3360 0.0000
Mg: 0.8323 0.1677 0.5000
Cd: 0.5000 0.5000 0.5000
Hg: 0.0770 0.4161 0.2456
Hg: 0.2410 0.2410 0.7519
Hg: 0.4161 0.0770 0.2456
Hg: 0.5839 0.9230 0.7544
Hg: 0.7590 0.7590 0.2481
Hg: 0.9230 0.5839 0.7544

The following is a theoretical X-ray powder pattern of Sr7Au2N2. It was derived from a cell relaxed with GGA-PBE, using a wavelength of 1.5418 Å.
Intensities are scaled so that the largest is 100.

Principal peaks in the range 10 to 90 degrees two-theta, sorted by position:
2theta  d (Å)  intensity
12.00  7.378  39
12.39  7.145  50
18.21  4.872  81
18.50  4.795  48
22.12  4.019  35
26.89  3.315  100
32.21  2.779  43
32.35  2.767  43
34.94  2.568  47
42.01  2.151  35

Structural model:
abc: 7.8098 7.8098 7.4932
angles: 95.58 95.58 112.37
Atoms (fractional coordinates):
Sr: 0.0000 0.0000 0.0000
Sr: 0.0640 0.3874 0.7296
Sr: 0.3874 0.0640 0.7296
Sr: 0.4230 0.4230 0.2001
Sr: 0.5770 0.5770 0.7999
Sr: 0.6126 0.9360 0.2704
Sr: 0.9360 0.6126 0.2704
Au: 0.3237 0.6763 0.5000
Au: 0.6763 0.3237 0.5000
N: 0.2686 0.2686 0.8938
N: 0.7314 0.7314 0.1062

The following is a theoretical X-ray powder pattern of NbHgO2. It was derived from a cell relaxed with GGA-PBE, using a wavelength of 1.5418 Å.
Intensities are scaled so that the largest is 100.

Principal peaks in the range 10 to 90 degrees two-theta, sorted by position:
2theta  d (Å)  intensity
11.12  7.955  31
22.35  3.978  95
34.61  2.591  20
35.24  2.547  100
37.66  2.389  65
46.25  1.963  55
51.95  1.760  36
61.63  1.505  23
66.42  1.408  29
73.06  1.295  25

Structural model:
abc: 8.1426 8.1426 8.1426
angles: 21.30 21.30 21.30
Atoms (fractional coordinates):
Nb: 0.0000 0.0000 0.0000
Hg: 0.5000 0.5000 0.5000
O: 0.3833 0.3833 0.3833
O: 0.6167 0.6167 0.6167

The following is a theoretical X-ray powder pattern of TaNiPt14. It was derived from a cell relaxed with GGA-PBE, using a wavelength of 1.5418 Å.
Intensities are scaled so that the largest is 100.

Principal peaks in the range 10 to 90 degrees two-theta, sorted by position:
2theta  d (Å)  intensity
19.41  4.574  1
33.82  2.650  1
39.40  2.287  100
45.55  1.991  33
46.34  1.959  16
66.39  1.408  11
67.01  1.397  21
80.02  1.199  26
81.18  1.185  12
84.79  1.143  11

Structural model:
abc: 5.6326 5.6326 7.8367
angles: 90.00 90.00 90.00
Atoms (fractional coordinates):
Ta: 0.0000 0.0000 0.0000
Ni: 0.5000 0.5000 0.0000
Pt: 0.0000 0.0000 0.5000
Pt: 0.0000 0.5000 0.0000
Pt: 0.0000 0.5000 0.5000
Pt: 0.2506 0.2506 0.2422
Pt: 0.2506 0.2506 0.7578
Pt: 0.2506 0.7494 0.2422
Pt: 0.2506 0.7494 0.7578
Pt: 0.5000 0.0000 0.0000
Pt: 0.5000 0.0000 0.5000
Pt: 0.5000 0.5000 0.5000
Pt: 0.7494 0.2506 0.2422
Pt: 0.7494 0.2506 0.7578
Pt: 0.7494 0.7494 0.2422
Pt: 0.7494 0.7494 0.7578

The following is a theoretical X-ray powder pattern of Ac2CuTe2O2. It was derived from a cell relaxed with GGA-PBE, using a wavelength of 1.5418 Å.
Intensities are scaled so that the largest is 100.

Principal peaks in the range 10 to 90 degrees two-theta, sorted by position:
2theta  d (Å)  intensity
25.20  3.534  100
27.98  3.188  61
32.14  2.785  47
35.05  2.560  16
37.25  2.414  18
42.58  2.123  44
49.39  1.845  20
50.12  1.820  16
51.70  1.768  24
56.30  1.634  25

Structural model:
abc: 4.2461 4.2461 12.7991
angles: 90.00 90.00 120.00
Atoms (fractional coordinates):
Ac: 0.3333 0.6667 0.1246
Ac: 0.6667 0.3333 0.8754
Cu: 0.0000 0.0000 0.5000
Te: 0.0000 0.0000 0.3120
Te: 0.0000 0.0000 0.6880
O: 0.3333 0.6667 0.9269
O: 0.6667 0.3333 0.0731